# TiCd
Simulated powder XRD pattern, λ = 1.5418 Å (Cu Kα). Input: a cell relaxed with GGA-PBE.

Structure:
a = 2.9109 Å, b = 2.9109 Å, c = 9.1073 Å
α = 90.00°, β = 90.00°, γ = 90.00°
Positions (direct):
Ti: 0.2500 0.2500 0.1073
Ti: 0.7500 0.7500 0.8927
Cd: 0.2500 0.2500 0.6359
Cd: 0.7500 0.7500 0.3641

Main lines, in order of rising 2θ (2θ = 10–90°):
d (Å)	2θ (°)	Rel. int.
3.036	29.42	10
2.773	32.29	18
2.453	36.64	100
2.277	39.58	18
2.058	43.99	30
1.527	60.65	19
1.346	69.89	11
1.252	76.04	21